1.
Diffraction record for CoNi2H4. The PXRD pattern is computed, not measured: it uses a PBE-relaxed structure and CuKα.
Kinematic intensities with the Lorentz-polarization factor, no thermal factor.

Top 6 peaks for 2θ = 15–90°, low angle first:
d (Å)	2θ (°)	I_rel	(hkl)
2.305	39.1	54.5	2 0 1
2.249	40.1	100.0	1 1 -1
2.132	42.4	43.2	4 0 -1
2.051	44.2	37.7	2 0 -2
1.880	48.4	57.5	3 1 0
1.345	69.9	26.8	0 2 0

Structure:
```
data_CoNi2H4
_chemical_formula_sum 'Co2 Ni4 H8'
_symmetry_space_group_name_H-M 'C 1 2/m 1'
_symmetry_Int_Tables_number 12
_cell_length_a 8.6056
_cell_length_b 2.6897
_cell_length_c 4.1170
_cell_angle_alpha 90.00
_cell_angle_beta 113.56
_cell_angle_gamma 90.00
loop_
_symmetry_equiv_pos_as_xyz
'x,y,z'
'-x,-y,-z'
'-x,y,-z'
'x,-y,z'
'x+1/2,y+1/2,z'
'-x+1/2,-y+1/2,-z'
'-x+1/2,y+1/2,-z'
'x+1/2,-y+1/2,z'
loop_
_atom_site_label
_atom_site_type_symbol
_atom_site_fract_x
_atom_site_fract_y
_atom_site_fract_z
Co1 Co 0.0000 0.0000 0.0000
Ni1 Ni 0.1690 0.5000 0.6753
H1 H 0.1242 0.5000 0.0241
H2 H 0.1386 0.0000 0.4211
```



2.
Diffraction record for LiNd4Au2. The PXRD pattern is computed, not measured: it uses a PBE-relaxed structure and CuKα.
Kinematic intensities with the Lorentz-polarization factor, no thermal factor.

Top 6 peaks for 2θ = 15–90°, low angle first:
d (Å)	2θ (°)	I_rel	(hkl)
4.383	20.3	20.9	0 0 6
3.711	24.0	45.2	1 0 4
2.883	31.0	60.4	1 0 7
2.596	34.6	100.0	1 1 0
2.270	39.7	30.9	1 0 10
2.233	40.4	22.3	1 1 6

Structure:
```
data_LiNd4Au2
_chemical_formula_sum 'Li3 Nd12 Au6'
_symmetry_space_group_name_H-M 'R -3 m'
_symmetry_Int_Tables_number 166
_symmetry_space_group_name_Hall '-R 3 2"'
_cell_length_a 5.1913
_cell_length_b 5.1913
_cell_length_c 26.2964
_cell_angle_alpha 90.00
_cell_angle_beta 90.00
_cell_angle_gamma 120.00
loop_
_atom_site_label
_atom_site_type_symbol
_atom_site_fract_x
_atom_site_fract_y
_atom_site_fract_z
Li1 Li 0.0000 0.0000 0.0000
Nd1 Nd 0.0000 0.0000 0.2104
Nd2 Nd 0.0000 0.0000 0.3775
Au1 Au 0.0000 0.0000 0.0951
```



3.
Diffraction record for KLa2Mg. The PXRD pattern is computed, not measured: it uses a PBE-relaxed structure and CuKα.
Kinematic intensities with the Lorentz-polarization factor, no thermal factor.

Top 6 peaks for 2θ = 15–90°, low angle first:
d (Å)	2θ (°)	I_rel	(hkl)
3.232	27.6	22.0	1 1 1
3.180	28.1	26.3	0 0 4
3.005	29.7	27.4	0 2 0
2.958	30.2	100.0	1 1 2
2.624	34.2	22.2	1 1 3
1.726	53.1	20.0	1 3 2

Structure:
```
data_KLa2Mg
_chemical_formula_sum 'K2 La4 Mg2'
_symmetry_space_group_name_H-M 'C m m 2'
_symmetry_Int_Tables_number 35
_cell_length_a 4.0200
_cell_length_b 6.0095
_cell_length_c 12.7217
_cell_angle_alpha 90.00
_cell_angle_beta 90.00
_cell_angle_gamma 90.00
loop_
_symmetry_equiv_pos_as_xyz
'x,y,z'
'-x,-y,z'
'-x,y,z'
'x,-y,z'
'x+1/2,y+1/2,z'
'-x+1/2,-y+1/2,z'
'-x+1/2,y+1/2,z'
'x+1/2,-y+1/2,z'
loop_
_atom_site_label
_atom_site_type_symbol
_atom_site_fract_x
_atom_site_fract_y
_atom_site_fract_z
K1 K 0.0000 0.0000 0.0000
La1 La 0.0000 0.0000 0.4732
La2 La 0.0000 0.5000 0.7046
Mg1 Mg 0.0000 0.5000 0.2554
```



4.
Diffraction record for CaTh3Au4. The PXRD pattern is computed, not measured: it uses a PBE-relaxed structure and CuKα.
Kinematic intensities with the Lorentz-polarization factor, no thermal factor.

Top 6 peaks for 2θ = 15–90°, low angle first:
d (Å)	2θ (°)	I_rel	(hkl)
2.621	34.2	100.0	1 1 2
2.607	34.4	49.5	2 0 0
1.843	49.4	18.1	2 2 0
1.516	61.1	19.0	2 0 4
1.508	61.5	37.8	3 1 2
1.310	72.1	11.8	2 2 4

Structure:
```
data_CaTh3Au4
_chemical_formula_sum 'Ca1 Th3 Au4'
_symmetry_space_group_name_H-M 'P 4/m m m'
_symmetry_Int_Tables_number 123
_symmetry_space_group_name_Hall '-P 4 2'
_cell_length_a 5.2141
_cell_length_b 5.2141
_cell_length_c 7.4507
_cell_angle_alpha 90.00
_cell_angle_beta 90.00
_cell_angle_gamma 90.00
loop_
_atom_site_label
_atom_site_type_symbol
_atom_site_fract_x
_atom_site_fract_y
_atom_site_fract_z
Ca1 Ca 0.0000 0.0000 0.0000
Th1 Th 0.0000 0.0000 0.5000
Th2 Th 0.5000 0.5000 0.0000
Th3 Th 0.5000 0.5000 0.5000
Au1 Au 0.0000 0.5000 0.2425
```